For ErBeTe, a crystal structure in Alexandria, relaxed with PBE gives the computed powder X-ray diffraction pattern in this record (Cu Kα (weighted mean of Kα1 and Kα2)).

The 10 most intense peaks (10° ≤ 2θ ≤ 80°), sorted by position:
- 2θ 17.7, rel. 58
- 2θ 23.6, rel. 100
- 2θ 26.3, rel. 54
- 2θ 31.4, rel. 82
- 2θ 38.2, rel. 40
- 2θ 40.6, rel. 59
- 2θ 41.2, rel. 72
- 2θ 45.1, rel. 33
- 2θ 57.4, rel. 31
- 2θ 73.1, rel. 21

Crystal structure
Lattice parameters (Å, degrees): 10.3493 10.3493 10.3493 24.45 24.45 24.45
Fractional coordinates of all 6 atoms:
Er (0.0542, 0.0542, 0.0542)
Er (0.9458, 0.9458, 0.9458)
Be (0.3272, 0.3272, 0.3272)
Be (0.6728, 0.6728, 0.6728)
Te (0.2298, 0.2298, 0.2298)
Te (0.7702, 0.7702, 0.7702)

=====

For Cs3SmO3, a crystal structure in Alexandria, relaxed with PBE gives the computed powder X-ray diffraction pattern in this record (Cu Kα (weighted mean of Kα1 and Kα2)).

The 10 most intense peaks (10° ≤ 2θ ≤ 80°), sorted by position:
- 2θ 24.8, rel. 16
- 2θ 25.8, rel. 41
- 2θ 26.6, rel. 100
- 2θ 26.9, rel. 50
- 2θ 27.4, rel. 51
- 2θ 30.8, rel. 48
- 2θ 34.8, rel. 20
- 2θ 40.2, rel. 17
- 2θ 42.1, rel. 16
- 2θ 47.3, rel. 20

Crystal structure
Lattice parameters (Å, degrees): 8.2693 7.7525 12.5771 90.00 94.83 90.00
Fractional coordinates of all 28 atoms:
Cs (0.0652, 0.1288, 0.1616)
Cs (0.0652, 0.3712, 0.6616)
Cs (0.3447, 0.1506, 0.9233)
Cs (0.3447, 0.3494, 0.4233)
Cs (0.3866, 0.6751, 0.8084)
Cs (0.3866, 0.8249, 0.3084)
Cs (0.6134, 0.1751, 0.6916)
Cs (0.6134, 0.3249, 0.1916)
Cs (0.6553, 0.6506, 0.5767)
Cs (0.6553, 0.8494, 0.0767)
Cs (0.9348, 0.6288, 0.3384)
Cs (0.9348, 0.8712, 0.8384)
Sm (0.1557, 0.5946, 0.0730)
Sm (0.1557, 0.9054, 0.5730)
Sm (0.8443, 0.0946, 0.4270)
Sm (0.8443, 0.4054, 0.9270)
O (0.1162, 0.0512, 0.4157)
O (0.1162, 0.4488, 0.9157)
O (0.2466, 0.6410, 0.5601)
O (0.2466, 0.8590, 0.0601)
O (0.2919, 0.0427, 0.7027)
O (0.2919, 0.4573, 0.2027)
O (0.7081, 0.5427, 0.7973)
O (0.7081, 0.9573, 0.2973)
O (0.7534, 0.1410, 0.9399)
O (0.7534, 0.3590, 0.4399)
O (0.8838, 0.5512, 0.0843)
O (0.8838, 0.9488, 0.5843)

=====

For ErTmPb, a crystal structure in Alexandria, relaxed with PBE gives the computed powder X-ray diffraction pattern in this record (Cu Kα (weighted mean of Kα1 and Kα2)).

The 10 most intense peaks (10° ≤ 2θ ≤ 80°), sorted by position:
- 2θ 30.2, rel. 54
- 2θ 30.5, rel. 100
- 2θ 33.0, rel. 35
- 2θ 33.7, rel. 17
- 2θ 37.5, rel. 35
- 2θ 39.5, rel. 56
- 2θ 47.1, rel. 22
- 2θ 55.3, rel. 19
- 2θ 61.4, rel. 16
- 2θ 70.9, rel. 18

Crystal structure
Lattice parameters (Å, degrees): 3.4904 17.7537 5.6978 90.00 90.00 90.00
Fractional coordinates of all 12 atoms:
Er (0.0000, 0.1697, 0.2500)
Er (0.0000, 0.8303, 0.7500)
Er (0.5000, 0.3303, 0.7500)
Er (0.5000, 0.6697, 0.2500)
Tm (0.2124, 0.5000, 0.0000)
Tm (0.2876, 0.0000, 0.5000)
Tm (0.7124, 0.0000, 0.0000)
Tm (0.7876, 0.5000, 0.5000)
Pb (0.0000, 0.3454, 0.2500)
Pb (0.0000, 0.6546, 0.7500)
Pb (0.5000, 0.1546, 0.7500)
Pb (0.5000, 0.8454, 0.2500)

=====

For CrFe, a crystal structure in Alexandria, relaxed with PBE gives the computed powder X-ray diffraction pattern in this record (Cu Kα (weighted mean of Kα1 and Kα2)).

The 6 most intense peaks (10° ≤ 2θ ≤ 80°), sorted by position:
- 2θ 11.0, rel. 1
- 2θ 45.0, rel. 100
- 2θ 45.3, rel. 24
- 2θ 45.8, rel. 24
- 2θ 64.6, rel. 8
- 2θ 66.4, rel. 14

Crystal structure
Lattice parameters (Å, degrees): 2.8852 3.9608 8.0114 90.00 90.00 90.00
Fractional coordinates of all 8 atoms:
Cr (0.0000, 0.2500, 0.1248)
Cr (0.0000, 0.7500, 0.8752)
Cr (0.5000, 0.2500, 0.8752)
Cr (0.5000, 0.7500, 0.1248)
Fe (0.0000, 0.2500, 0.6253)
Fe (0.0000, 0.7500, 0.3747)
Fe (0.5000, 0.2500, 0.3747)
Fe (0.5000, 0.7500, 0.6253)

=====

For K2Bi2Pd3, a crystal structure in Alexandria, relaxed with PBE gives the computed powder X-ray diffraction pattern in this record (Cu Kα (weighted mean of Kα1 and Kα2)).

The 10 most intense peaks (10° ≤ 2θ ≤ 80°), sorted by position:
- 2θ 14.4, rel. 100
- 2θ 29.1, rel. 30
- 2θ 31.9, rel. 16
- 2θ 36.4, rel. 42
- 2θ 40.2, rel. 30
- 2θ 40.9, rel. 14
- 2θ 41.3, rel. 20
- 2θ 44.0, rel. 13
- 2θ 48.8, rel. 12
- 2θ 54.8, rel. 14

Crystal structure
Lattice parameters (Å, degrees): 12.9208 4.3691 8.2670 90.00 120.23 90.00
Fractional coordinates of all 14 atoms:
K (0.1084, 0.0000, 0.2426)
K (0.3916, 0.5000, 0.7574)
K (0.6084, 0.5000, 0.2426)
K (0.8916, 0.0000, 0.7574)
Bi (0.1548, 0.0000, 0.7051)
Bi (0.3452, 0.5000, 0.2949)
Bi (0.6548, 0.5000, 0.7051)
Bi (0.8452, 0.0000, 0.2949)
Pd (0.0000, 0.5000, 0.5000)
Pd (0.1699, 0.5000, 0.9075)
Pd (0.3301, 0.0000, 0.0925)
Pd (0.5000, 0.0000, 0.5000)
Pd (0.6699, 0.0000, 0.9075)
Pd (0.8301, 0.5000, 0.0925)

=====

For AcPr6Dy2, a crystal structure in Alexandria, relaxed with PBE gives the computed powder X-ray diffraction pattern in this record (Cu Kα (weighted mean of Kα1 and Kα2)).

The 10 most intense peaks (10° ≤ 2θ ≤ 80°), sorted by position:
- 2θ 30.3, rel. 93
- 2θ 30.5, rel. 100
- 2θ 43.6, rel. 35
- 2θ 50.4, rel. 8
- 2θ 54.1, rel. 24
- 2θ 54.2, rel. 26
- 2θ 60.1, rel. 28
- 2θ 63.6, rel. 8
- 2θ 72.0, rel. 11
- 2θ 77.2, rel. 9

Crystal structure
Lattice parameters (Å, degrees): 5.8485 5.8485 10.8610 90.00 90.00 119.83
Fractional coordinates of all 9 atoms:
Ac (0.0000, 0.0000, 0.0000)
Pr (0.0000, 0.0000, 0.3412)
Pr (0.0000, 0.0000, 0.6588)
Pr (0.3330, 0.6670, 0.1757)
Pr (0.3330, 0.6670, 0.8243)
Pr (0.6670, 0.3330, 0.1757)
Pr (0.6670, 0.3330, 0.8243)
Dy (0.3331, 0.6669, 0.5000)
Dy (0.6669, 0.3331, 0.5000)